Theoretical PXRD pattern of Ba5P5I3 for Cu Kα (λ = 1.5418 Å), from a DFT-relaxed cell (PBE, Alexandria).
Lines closer than 0.1° are merged.

Structural model:
a b c (Å): 21.774 21.774 9.549
angles (deg): 92.71 92.71 12.14
Atoms (fractional coordinates):
Ba (0.041, 0.041, 0.350)
Ba (0.060, 0.060, 0.792)
Ba (0.260, 0.260, 0.223)
Ba (0.341, 0.341, 0.953)
Ba (0.362, 0.362, 0.416)
Ba (0.638, 0.638, 0.584)
Ba (0.659, 0.659, 0.047)
Ba (0.740, 0.740, 0.777)
Ba (0.940, 0.940, 0.208)
Ba (0.959, 0.959, 0.650)
P (0.131, 0.131, 0.825)
P (0.180, 0.180, 0.781)
P (0.209, 0.209, 0.971)
P (0.437, 0.437, 0.442)
P (0.486, 0.486, 0.396)
P (0.514, 0.514, 0.604)
P (0.563, 0.563, 0.558)
P (0.791, 0.791, 0.029)
P (0.820, 0.820, 0.219)
P (0.869, 0.869, 0.175)
I (0.125, 0.125, 0.297)
I (0.290, 0.290, 0.606)
I (0.450, 0.450, 0.934)
I (0.550, 0.550, 0.066)
I (0.710, 0.710, 0.394)
I (0.875, 0.875, 0.703)

Largest 8 diffraction maxima, most intense first, 10° ≤ 2θ ≤ 90°:
2θ 28.12, d = 3.173 Å, intensity 100; 2θ 26.92, d = 3.312 Å, intensity 85; 2θ 27.83, d = 3.206 Å, intensity 78; 2θ 20.53, d = 4.325 Å, intensity 60; 2θ 33.35, d = 2.687 Å, intensity 60; 2θ 30.18, d = 2.961 Å, intensity 60; 2θ 39.11, d = 2.303 Å, intensity 57; 2θ 22.84, d = 3.893 Å, intensity 40